# 1
This entry pairs a crystal structure of Ba2P7Cl with its theoretical powder XRD pattern. Radiation: Cu Kα, 1.54184 Å. Structure: a structure optimized by DFT (PBE).
Kinematic intensities with the Lorentz-polarization factor, no thermal factor.

Cell and atoms:
Cell lengths 6.437, 6.924, 11.892 Å; angles 90.00, 95.07, 90.00 degrees
Element x y z (fractional)
Ba  0.070  0.250  0.347
Ba  0.268  0.250  0.954
Ba  0.732  0.750  0.046
Ba  0.930  0.750  0.653
P  0.176  0.750  0.405
P  0.179  0.750  0.221
P  0.355  0.080  0.689
P  0.355  0.420  0.689
P  0.383  0.506  0.193
P  0.383  0.994  0.193
P  0.490  0.250  0.553
P  0.510  0.750  0.447
P  0.617  0.006  0.807
P  0.617  0.494  0.807
P  0.645  0.580  0.311
P  0.645  0.920  0.311
P  0.821  0.250  0.779
P  0.824  0.250  0.595
Cl  0.129  0.750  0.909
Cl  0.871  0.250  0.091

Main lines, most intense first (10° ≤ 2θ ≤ 80°):
30.50 deg, intensity 100; 20.76 deg, intensity 95; 32.48 deg, intensity 83; 25.73 deg, intensity 62; 23.37 deg, intensity 59; 32.16 deg, intensity 50; 39.54 deg, intensity 49; 40.26 deg, intensity 48; 18.86 deg, intensity 45; 29.50 deg, intensity 41; 31.06 deg, intensity 40; 29.32 deg, intensity 37


# 2
This entry pairs a crystal structure of ZnIr4Au with its theoretical powder XRD pattern. Radiation: Cu Kα, 1.54184 Å. Structure: a structure optimized by DFT (PBE).
Kinematic intensities with the Lorentz-polarization factor, no thermal factor.

Cell and atoms:
Cell lengths 5.201, 5.201, 5.201 Å; angles 60.00, 60.00, 60.00 degrees
Element x y z (fractional)
Zn  0.000  0.000  0.000
Ir  0.375  0.375  0.375
Ir  0.375  0.375  0.876
Ir  0.375  0.876  0.375
Ir  0.876  0.375  0.375
Au  0.750  0.750  0.750

Main lines, most intense first (10° ≤ 2θ ≤ 80°):
40.69 deg, intensity 100; 42.58 deg, intensity 52; 66.00 deg, intensity 32; 72.73 deg, intensity 29; 20.92 deg, intensity 23; 34.49 deg, intensity 17; 49.58 deg, intensity 10; 61.79 deg, intensity 6; 54.37 deg, intensity 6; 24.20 deg, intensity 5; 76.65 deg, intensity 4; 55.91 deg, intensity 2


# 3
This entry pairs a crystal structure of Cu2Tc with its theoretical powder XRD pattern. Radiation: Cu Kα, 1.54184 Å. Structure: a structure optimized by DFT (PBE).
Kinematic intensities with the Lorentz-polarization factor, no thermal factor.

Cell and atoms:
Cell lengths 5.337, 3.695, 8.001 Å; angles 90.00, 90.00, 90.00 degrees
Element x y z (fractional)
Cu  0.105  0.250  0.090
Cu  0.132  0.250  0.757
Cu  0.368  0.750  0.257
Cu  0.395  0.750  0.590
Cu  0.605  0.250  0.410
Cu  0.632  0.250  0.743
Cu  0.868  0.750  0.243
Cu  0.895  0.750  0.910
Tc  0.102  0.250  0.430
Tc  0.398  0.750  0.930
Tc  0.602  0.250  0.070
Tc  0.898  0.750  0.570

Main lines, most intense first (10° ≤ 2θ ≤ 80°):
41.76 deg, intensity 100; 48.25 deg, intensity 31; 71.47 deg, intensity 18; 49.32 deg, intensity 16; 70.62 deg, intensity 8; 20.00 deg, intensity 4; 22.22 deg, intensity 2; 54.65 deg, intensity 1; 37.71 deg, intensity 1; 33.59 deg, intensity 1; 78.31 deg, intensity 1; 43.33 deg, intensity 1


# 4
This entry pairs a crystal structure of Sr8Rh2Cl with its theoretical powder XRD pattern. Radiation: Cu Kα, 1.54184 Å. Structure: a structure optimized by DFT (PBE).
Kinematic intensities with the Lorentz-polarization factor, no thermal factor.

Cell and atoms:
Cell lengths 6.240, 8.714, 8.725 Å; angles 81.76, 87.51, 87.39 degrees
Element x y z (fractional)
Sr  0.215  0.338  0.338
Sr  0.244  0.892  0.892
Sr  0.257  0.870  0.375
Sr  0.258  0.373  0.871
Sr  0.742  0.627  0.129
Sr  0.743  0.130  0.625
Sr  0.756  0.108  0.108
Sr  0.785  0.662  0.662
Rh  0.256  0.121  0.123
Rh  0.744  0.879  0.877
Cl  0.500  0.500  0.500

Main lines, most intense first (10° ≤ 2θ ≤ 80°):
28.66 deg, intensity 100; 31.35 deg, intensity 99; 27.10 deg, intensity 98; 25.58 deg, intensity 97; 10.26 deg, intensity 71; 24.66 deg, intensity 67; 41.91 deg, intensity 61; 42.94 deg, intensity 43; 38.62 deg, intensity 42; 41.06 deg, intensity 41; 15.53 deg, intensity 38; 50.55 deg, intensity 36